Calculated X-ray diffraction stick pattern of U4Al18Ni5 for Cu Kα, 1.54184 Å, from DFT lattice parameters and positions (GGA-PBE).
Kinematic intensities with the Lorentz-polarization factor, no thermal factor.

Structure:
```
data_U4Al18Ni5
_chemical_formula_sum 'U8 Al36 Ni10'
_cell_length_a 15.621
_cell_length_b 4.037
_cell_length_c 16.063
_cell_angle_alpha 90.00
_cell_angle_beta 117.26
_cell_angle_gamma 90.00
_space_group_name_H-M_alt 'C 1 m 1'
_space_group_IT_number 8
_space_group_name_Hall 'C -2y'
loop_
_atom_site_label
_atom_site_type_symbol
_atom_site_fract_x
_atom_site_fract_y
_atom_site_fract_z
_atom_site_occupancy
U1 U 0.000 0.000 0.000 1
U2 U 0.036 0.500 0.674 1
U3 U 0.211 0.000 0.447 1
U4 U 0.330 0.000 0.227 1
Al1 Al 0.063 0.000 0.548 1
Al2 Al 0.068 0.500 0.315 1
Al3 Al 0.070 0.500 0.896 1
Al4 Al 0.138 0.000 0.226 1
Al5 Al 0.165 0.500 0.115 1
Al6 Al 0.195 0.000 0.735 1
Al7 Al 0.199 0.000 0.014 1
Al8 Al 0.204 0.500 0.596 1
Al9 Al 0.245 0.500 0.882 1
Al10 Al 0.271 0.500 0.338 1
Al11 Al 0.333 0.000 0.668 1
Al12 Al 0.340 0.500 0.079 1
Al13 Al 0.373 0.500 0.561 1
Al14 Al 0.379 0.000 0.856 1
Al15 Al 0.403 0.000 0.452 1
Al16 Al 0.455 0.500 0.770 1
Al17 Al 0.473 0.500 0.364 1
Al18 Al 0.481 0.000 0.131 1
Ni1 Ni 0.055 0.500 0.458 1
Ni2 Ni 0.127 0.000 0.848 1
Ni3 Ni 0.298 0.500 0.762 1
Ni4 Ni 0.334 0.000 0.986 1
Ni5 Ni 0.487 0.500 0.222 1
```

Most intense lines, 15 to 90 degrees two-theta, sorted by position:
- 16.56°, rel. 61.3, (2 0 1)
- 17.09°, rel. 77.7, (2 0 -3)
- 22.98°, rel. 85.8, (1 1 -1)
- 24.94°, rel. 38.5, (0 0 4)
- 31.87°, rel. 62.7, (3 1 1)
- 32.41°, rel. 57.9, (3 1 -4)
- 36.34°, rel. 73.2, (1 1 4)
- 36.43°, rel. 50.0, (5 1 -2)
- 36.61°, rel. 100.0, (1 1 -5)
- 44.90°, rel. 50.2, (0 2 0)

=====

Calculated X-ray diffraction stick pattern of SmO for Cu Kα, 1.54184 Å, from DFT lattice parameters and positions (GGA-PBE).
Kinematic intensities with the Lorentz-polarization factor, no thermal factor.

Structure:
```
data_SmO
_chemical_formula_sum 'Sm4 O4'
_cell_length_a 4.966
_cell_length_b 4.966
_cell_length_c 4.966
_cell_angle_alpha 90.00
_cell_angle_beta 90.00
_cell_angle_gamma 90.00
_space_group_name_H-M_alt 'F m -3 m'
_space_group_IT_number 225
_space_group_name_Hall '-F 4 2 3'
loop_
_atom_site_label
_atom_site_type_symbol
_atom_site_fract_x
_atom_site_fract_y
_atom_site_fract_z
_atom_site_occupancy
Sm1 Sm 0.000 0.000 0.000 1
O1 O 0.000 0.000 0.500 1
```

Most intense lines, 15 to 90 degrees two-theta, sorted by position:
- 31.19°, rel. 100.0, (1 1 1)
- 36.17°, rel. 79.6, (2 0 0)
- 52.09°, rel. 54.7, (2 2 0)
- 61.97°, rel. 45.0, (3 1 1)
- 65.06°, rel. 18.3, (2 2 2)
- 76.76°, rel. 8.4, (4 0 0)
- 85.16°, rel. 19.3, (3 3 1)
- 87.93°, rel. 24.3, (4 2 0)

=====

Calculated X-ray diffraction stick pattern of K2BeCl4 for Cu Kα, 1.54184 Å, from DFT lattice parameters and positions (GGA-PBE).
Kinematic intensities with the Lorentz-polarization factor, no thermal factor.

Structure:
```
data_K2BeCl4
_chemical_formula_sum 'K8 Be4 Cl16'
_cell_length_a 8.958
_cell_length_b 6.949
_cell_length_c 12.221
_cell_angle_alpha 90.00
_cell_angle_beta 90.00
_cell_angle_gamma 90.00
_space_group_name_H-M_alt 'P n m a'
_space_group_IT_number 62
_space_group_name_Hall '-P 2ac 2n'
loop_
_atom_site_label
_atom_site_type_symbol
_atom_site_fract_x
_atom_site_fract_y
_atom_site_fract_z
_atom_site_occupancy
K1 K 0.015 0.250 0.179 1
K2 K 0.150 0.750 0.413 1
Be1 Be 0.232 0.750 0.078 1
Cl1 Cl 0.006 0.750 0.083 1
Cl2 Cl 0.187 0.011 0.653 1
Cl3 Cl 0.189 0.250 0.420 1
```

Most intense lines, 15 to 90 degrees two-theta, sorted by position:
- 25.64°, rel. 21.4, (0 2 0)
- 29.23°, rel. 28.1, (0 0 4)
- 29.61°, rel. 23.1, (0 2 2)
- 30.86°, rel. 100.0, (3 0 1)
- 31.25°, rel. 75.1, (1 2 2)
- 33.46°, rel. 40.1, (2 2 1)
- 33.57°, rel. 21.4, (1 1 4)
- 37.34°, rel. 19.3, (3 0 3)
- 39.59°, rel. 19.7, (2 2 3)
- 62.32°, rel. 19.9, (3 4 1)

=====

Calculated X-ray diffraction stick pattern of KTcO3 for Cu Kα, 1.54184 Å, from DFT lattice parameters and positions (GGA-PBE).
Kinematic intensities with the Lorentz-polarization factor, no thermal factor.

Structure:
```
data_KTcO3
_chemical_formula_sum 'K1 Tc1 O3'
_cell_length_a 3.934
_cell_length_b 3.934
_cell_length_c 3.934
_cell_angle_alpha 90.00
_cell_angle_beta 90.00
_cell_angle_gamma 90.00
_space_group_name_H-M_alt 'P m -3 m'
_space_group_IT_number 221
_space_group_name_Hall '-P 4 2 3'
loop_
_atom_site_label
_atom_site_type_symbol
_atom_site_fract_x
_atom_site_fract_y
_atom_site_fract_z
_atom_site_occupancy
K1 K 0.000 0.000 0.000 1
Tc1 Tc 0.500 0.500 0.500 1
O1 O 0.000 0.500 0.500 1
```

Most intense lines, 15 to 90 degrees two-theta, sorted by position:
- 22.60°, rel. 47.4, (1 0 0)
- 32.18°, rel. 100.0, (1 1 0)
- 46.15°, rel. 39.6, (2 0 0)
- 51.98°, rel. 19.2, (2 1 0)
- 57.38°, rel. 37.0, (2 1 1)
- 67.33°, rel. 22.3, (2 2 0)
- 72.02°, rel. 8.6, (3 0 0)
- 76.60°, rel. 15.5, (3 1 0)
- 85.52°, rel. 7.3, (2 2 2)
- 89.92°, rel. 3.9, (3 2 0)

=====

Calculated X-ray diffraction stick pattern of K5Na3Ta5Nb3O24 for Cu Kα, 1.54184 Å, from DFT lattice parameters and positions (GGA-PBE).
Kinematic intensities with the Lorentz-polarization factor, no thermal factor.

Structure:
```
data_K5Na3Ta5Nb3O24
_chemical_formula_sum 'K5 Na3 Ta5 Nb3 O24'
_cell_length_a 8.039
_cell_length_b 8.039
_cell_length_c 8.040
_cell_angle_alpha 90.00
_cell_angle_beta 90.00
_cell_angle_gamma 90.00
_space_group_name_H-M_alt 'P 1'
_space_group_IT_number 1
_space_group_name_Hall 'P 1'
loop_
_atom_site_label
_atom_site_type_symbol
_atom_site_fract_x
_atom_site_fract_y
_atom_site_fract_z
_atom_site_occupancy
K1 K 0.000 0.000 0.000 1
K2 K 0.000 0.000 0.500 1
K3 K 0.000 0.500 0.000 1
K4 K 0.000 0.500 0.500 1
K5 K 0.500 0.000 0.000 1
Na1 Na 0.500 0.000 0.500 1
Na2 Na 0.500 0.500 0.000 1
Na3 Na 0.500 0.500 0.500 1
Ta1 Ta 0.251 0.250 0.250 1
Ta2 Ta 0.251 0.750 0.250 1
Ta3 Ta 0.251 0.750 0.750 1
Ta4 Ta 0.749 0.250 0.250 1
Ta5 Ta 0.749 0.750 0.250 1
Nb1 Nb 0.251 0.250 0.750 1
Nb2 Nb 0.749 0.250 0.750 1
Nb3 Nb 0.749 0.750 0.750 1
O1 O 0.000 0.250 0.250 1
O2 O 0.000 0.250 0.750 1
O3 O 0.000 0.750 0.250 1
O4 O 0.001 0.750 0.750 1
O5 O 0.251 0.000 0.251 1
O6 O 0.251 0.251 0.001 1
O7 O 0.251 0.749 0.000 1
O8 O 0.251 0.999 0.749 1
O9 O 0.252 0.250 0.499 1
O10 O 0.252 0.500 0.250 1
O11 O 0.252 0.501 0.750 1
O12 O 0.252 0.750 0.500 1
O13 O 0.499 0.749 0.749 1
O14 O 0.500 0.251 0.251 1
O15 O 0.500 0.251 0.749 1
O16 O 0.500 0.749 0.251 1
O17 O 0.749 0.000 0.251 1
O18 O 0.749 0.000 0.749 1
O19 O 0.749 0.250 0.499 1
O20 O 0.749 0.251 0.001 1
O21 O 0.749 0.500 0.250 1
O22 O 0.749 0.500 0.750 1
O23 O 0.749 0.749 0.001 1
O24 O 0.749 0.750 0.499 1
```

Most intense lines, 15 to 90 degrees two-theta, sorted by position:
- 22.11°, rel. 74.8, (2 0 0)
- 31.48°, rel. 100.0, (2 2 0)
- 45.11°, rel. 34.8, (4 0 0)
- 50.79°, rel. 32.2, (4 2 0)
- 56.04°, rel. 39.3, (4 2 2)
- 65.70°, rel. 20.7, (4 4 0)
- 70.25°, rel. 15.1, (6 0 0)
- 74.67°, rel. 16.8, (6 2 0)
- 83.27°, rel. 6.8, (4 4 4)
- 87.50°, rel. 7.0, (6 4 0)

=====

Calculated X-ray diffraction stick pattern of ZrZn3 for Cu Kα, 1.54184 Å, from DFT lattice parameters and positions (GGA-PBE).
Kinematic intensities with the Lorentz-polarization factor, no thermal factor.

Structure:
```
data_ZrZn3
_chemical_formula_sum 'Zr2 Zn6'
_cell_length_a 5.8902
_cell_length_b 5.8902
_cell_length_c 4.3854
_cell_angle_alpha 90.00
_cell_angle_beta 90.00
_cell_angle_gamma 120.00
_space_group_name_H-M_alt 'P 63/m m c'
_space_group_IT_number 194
_space_group_name_Hall '-P 6c 2c'
loop_
_atom_site_label
_atom_site_type_symbol
_atom_site_fract_x
_atom_site_fract_y
_atom_site_fract_z
_atom_site_occupancy
Zr1 Zr 0.3333 0.6667 0.2500 1
Zn1 Zn 0.1584 0.3167 0.7500 1
```

Most intense lines, 15 to 90 degrees two-theta, sorted by position:
- 26.81°, rel. 3.1, (1 0 1)
- 35.19°, rel. 25.6, (2 0 0)
- 40.93°, rel. 100.0, (2 0 1)
- 41.17°, rel. 22.2, (0 0 2)
- 55.25°, rel. 13.3, (2 0 2)
- 63.14°, rel. 16.9, (2 2 0)
- 74.87°, rel. 15.4, (2 0 3)
- 78.04°, rel. 13.0, (4 0 1)
- 78.19°, rel. 17.6, (2 2 2)
- 88.75°, rel. 3.2, (4 0 2)

=====

Calculated X-ray diffraction stick pattern of KAsH2O4 for Cu Kα, 1.54184 Å, from DFT lattice parameters and positions (GGA-PBE).
Kinematic intensities with the Lorentz-polarization factor, no thermal factor.

Structure:
```
data_KAsH2O4
_chemical_formula_sum 'K8 As8 H16 O32'
_cell_length_a 10.951
_cell_length_b 11.100
_cell_length_c 7.340
_cell_angle_alpha 90.00
_cell_angle_beta 90.00
_cell_angle_gamma 90.00
_space_group_name_H-M_alt 'F d d 2'
_space_group_IT_number 43
_space_group_name_Hall 'F 2 -2d'
loop_
_atom_site_label
_atom_site_type_symbol
_atom_site_fract_x
_atom_site_fract_y
_atom_site_fract_z
_atom_site_occupancy
K1 K 0.000 0.000 0.000 1
As1 As 0.000 0.000 0.522 1
H1 H 0.031 0.314 0.883 1
O1 O 0.037 0.120 0.373 1
O2 O 0.124 0.214 0.895 1
```

Most intense lines, 15 to 90 degrees two-theta, sorted by position:
- 16.59°, rel. 57.5, (1 1 1)
- 22.81°, rel. 100.0, (2 2 0)
- 28.21°, rel. 15.0, (1 3 1)
- 29.17°, rel. 54.2, (0 2 2)
- 29.30°, rel. 51.0, (2 0 2)
- 32.26°, rel. 16.1, (0 4 0)
- 32.71°, rel. 16.0, (4 0 0)
- 44.13°, rel. 37.1, (2 4 2)
- 44.39°, rel. 34.4, (4 2 2)
- 55.33°, rel. 15.1, (2 2 4)